# Hf3Pb
Calculated powder XRD pattern, copper Kα. Input: a crystal structure in the Materials Project, relaxed with GGA-PBE.
Kinematic intensities with the Lorentz-polarization factor, no thermal factor.

Structure:
```
Hf3Pb
1.0
4.3630 0.0000 0.0000
0.0000 4.3630 0.0000
0.0000 0.0000 9.5302
Hf Pb
6 2
Direct
0.0000 0.0000 0.0000
0.0000 0.5000 0.2500
0.0000 0.5000 0.7500
0.5000 0.0000 0.2500
0.5000 0.0000 0.7500
0.5000 0.5000 0.5000
0.0000 0.0000 0.5000
0.5000 0.5000 0.0000
```

Principal peaks in the range 2θ = 15–90°, by angle:
| d (Å) | Rel. int. |
| --- | --- |
| 2.590 | 100 |
| 2.383 | 20 |
| 2.182 | 31 |
| 1.609 | 24 |
| 1.412 | 16 |
| 1.325 | 25 |